Diffraction record for Li2MnF4. The XRD peak list is simulated, not measured: it uses a structure optimized by DFT (PBE+U) and Cu Kα.
Intensities are scaled so that the largest is 100.

Largest 6 diffraction maxima, in order of rising 2θ, 5 to 70 degrees two-theta:
(hkl)	2θ (°)	d/Å	I/Imax
1 0 0	20.34	4.365	72
1 0 1	27.04	3.297	54
1 1 1	34.08	2.631	100
2 1 1	50.12	1.820	20
2 0 2	55.76	1.649	37
2 2 0	59.95	1.543	27

Crystal structure
Unit cell a=4.365 b=4.365 c=5.032 alpha=90.00 beta=90.00 gamma=90.00
Space group P-42m (No. 111)
Asymmetric unit:
Li (0.000, 0.500, 0.000)
Mn (0.000, 0.000, 0.500)
F (0.238, 0.238, 0.779)